1.
Diffraction record for KGe2BO6. The powder XRD pattern is calculated, not measured: it uses a crystal structure in Alexandria, relaxed with GGA-PBE and copper Kα.

Crystal structure
```
KGe2BO6
1.0
4.878 0.000 0.000
0.000 10.346 0.000
0.000 0.000 10.874
K Ge B O
4 8 4 24
direct
0.193 0.030 0.312
0.307 0.970 0.812
0.693 0.470 0.688
0.807 0.530 0.188
0.200 0.385 0.434
0.231 0.302 0.920
0.269 0.698 0.420
0.300 0.615 0.934
0.700 0.115 0.566
0.731 0.198 0.080
0.769 0.802 0.580
0.800 0.885 0.066
0.195 0.234 0.658
0.305 0.766 0.158
0.695 0.266 0.342
0.805 0.734 0.842
0.006 0.792 0.166
0.028 0.819 0.466
0.055 0.124 0.598
0.080 0.248 0.784
0.095 0.549 0.408
0.144 0.360 0.593
0.356 0.640 0.093
0.405 0.451 0.908
0.420 0.752 0.284
0.445 0.876 0.098
0.472 0.181 0.966
0.494 0.208 0.666
0.506 0.708 0.834
0.528 0.681 0.534
0.555 0.376 0.402
0.580 0.252 0.216
0.595 0.951 0.592
0.644 0.140 0.407
0.856 0.860 0.907
0.905 0.049 0.092
0.920 0.748 0.716
0.945 0.624 0.902
0.972 0.319 0.034
0.994 0.292 0.334
```

Largest 6 diffraction maxima, by angle, 5° ≤ 2θ ≤ 70°:
Position (°2θ), intensity
16.3, 36
24.5, 100
26.0, 72
27.1, 50
31.8, 52
37.9, 39



2.
Diffraction record for Ag2Te3O8. The powder XRD pattern is calculated, not measured: it uses a crystal structure in Alexandria, relaxed with GGA-PBE and copper Kα.

Crystal structure
```
Ag2Te3O8
1.0
5.836 -3.162 0.000
5.836 3.162 0.000
-0.960 0.000 5.816
Ag Te O
2 3 8
direct
0.191 0.191 0.047
0.809 0.809 0.953
0.246 0.754 0.500
0.500 0.500 0.000
0.754 0.246 0.500
0.103 0.103 0.622
0.192 0.646 0.802
0.354 0.808 0.198
0.382 0.382 0.201
0.618 0.618 0.799
0.646 0.192 0.802
0.808 0.354 0.198
0.897 0.897 0.378
```

Largest 6 diffraction maxima, by angle, 5° ≤ 2θ ≤ 70°:
Position (°2θ), intensity
15.4, 57
23.4, 32
27.2, 42
29.3, 42
30.7, 36
32.2, 100



3.
Diffraction record for La12Pm5Er2. The powder XRD pattern is calculated, not measured: it uses a crystal structure in Alexandria, relaxed with GGA-PBE and copper Kα.

Crystal structure
```
La12Pm5Er2
1.0
9.770 -3.821 0.000
9.770 3.821 0.000
-4.505 0.000 9.144
La Pm Er
12 5 2
direct
0.005 0.005 0.213
0.067 0.600 0.502
0.090 0.591 0.153
0.400 0.933 0.498
0.409 0.910 0.847
0.489 0.489 0.664
0.511 0.511 0.336
0.591 0.090 0.153
0.600 0.067 0.502
0.910 0.409 0.847
0.933 0.400 0.498
0.995 0.995 0.787
0.000 0.000 0.500
0.173 0.173 0.164
0.324 0.324 0.806
0.676 0.676 0.194
0.827 0.827 0.836
0.300 0.700 0.000
0.700 0.300 0.000
```

Largest 6 diffraction maxima, by angle, 5° ≤ 2θ ≤ 70°:
Position (°2θ), intensity
28.9, 100
29.3, 44
29.7, 55
30.5, 40
30.6, 94
31.5, 31



4.
Diffraction record for Be2SiSe4. The powder XRD pattern is calculated, not measured: it uses a crystal structure in Alexandria, relaxed with GGA-PBE and copper Kα.

Crystal structure
```
Be2SiSe4
1.0
-2.654 2.654 5.106
2.654 -2.654 5.106
2.654 2.654 -5.106
Be Si Se
2 1 4
direct
0.250 0.750 0.500
0.750 0.250 0.500
0.000 0.000 0.000
0.130 0.618 0.000
0.382 0.382 0.512
0.618 0.130 0.000
0.870 0.870 0.488
```

Largest 6 diffraction maxima, by angle, 5° ≤ 2θ ≤ 70°:
Position (°2θ), intensity
29.5, 100
33.8, 26
48.5, 15
49.5, 29
57.8, 28
59.7, 13



5.
Diffraction record for TbPa5As6. The powder XRD pattern is calculated, not measured: it uses a crystal structure in Alexandria, relaxed with GGA-PBE and copper Kα.

Crystal structure
```
TbPa5As6
1.0
3.549 -6.149 0.000
3.549 6.149 0.000
-2.367 0.000 6.689
Tb Pa As
1 5 6
direct
0.000 0.000 0.000
0.165 0.835 0.500
0.333 0.667 0.000
0.500 0.500 0.500
0.667 0.333 0.000
0.835 0.165 0.500
0.083 0.417 0.250
0.251 0.251 0.751
0.417 0.083 0.250
0.583 0.917 0.750
0.749 0.749 0.249
0.917 0.583 0.750
```

Largest 6 diffraction maxima, by angle, 5° ≤ 2θ ≤ 70°:
Position (°2θ), intensity
26.6, 42
30.9, 100
44.2, 76
52.4, 21
54.9, 27
64.3, 13



6.
Diffraction record for TbDy2Ru. The powder XRD pattern is calculated, not measured: it uses a crystal structure in Alexandria, relaxed with GGA-PBE and copper Kα.

Crystal structure
```
TbDy2Ru
1.0
1.958 -5.962 0.000
1.958 5.962 0.000
0.000 0.000 9.118
Tb Dy Ru
2 4 2
direct
0.076 0.924 0.750
0.924 0.076 0.250
0.357 0.643 0.568
0.357 0.643 0.932
0.643 0.357 0.068
0.643 0.357 0.432
0.257 0.743 0.250
0.743 0.257 0.750
```

Largest 6 diffraction maxima, by angle, 5° ≤ 2θ ≤ 70°:
Position (°2θ), intensity
31.0, 88
32.1, 60
33.1, 100
33.6, 100
38.2, 52
58.1, 40



7.
Diffraction record for Pm2SmTh2. The powder XRD pattern is calculated, not measured: it uses a crystal structure in Alexandria, relaxed with GGA-PBE and copper Kα.

Crystal structure
```
Pm2SmTh2
1.0
-1.803 1.803 12.873
1.803 -1.803 12.873
1.803 1.803 -12.873
Pm Sm Th
2 1 2
direct
0.104 0.104 0.000
0.896 0.896 0.000
0.500 0.500 0.000
0.297 0.297 0.000
0.703 0.703 0.000
```

Largest 6 diffraction maxima, by angle, 5° ≤ 2θ ≤ 70°:
Position (°2θ), intensity
6.9, 16
30.3, 100
34.8, 20
35.2, 34
50.4, 24
60.1, 29



Repeat the third record exactly.
Diffraction record for La12Pm5Er2. The powder XRD pattern is calculated, not measured: it uses a crystal structure in Alexandria, relaxed with GGA-PBE and copper Kα.

Crystal structure
```
La12Pm5Er2
1.0
9.770 -3.821 0.000
9.770 3.821 0.000
-4.505 0.000 9.144
La Pm Er
12 5 2
direct
0.005 0.005 0.213
0.067 0.600 0.502
0.090 0.591 0.153
0.400 0.933 0.498
0.409 0.910 0.847
0.489 0.489 0.664
0.511 0.511 0.336
0.591 0.090 0.153
0.600 0.067 0.502
0.910 0.409 0.847
0.933 0.400 0.498
0.995 0.995 0.787
0.000 0.000 0.500
0.173 0.173 0.164
0.324 0.324 0.806
0.676 0.676 0.194
0.827 0.827 0.836
0.300 0.700 0.000
0.700 0.300 0.000
```

Largest 6 diffraction maxima, by angle, 5° ≤ 2θ ≤ 70°:
Position (°2θ), intensity
28.9, 100
29.3, 44
29.7, 55
30.5, 40
30.6, 94
31.5, 31